1.
For KNiAs2Rh, the PBE geometry in Alexandria gives the theoretical powder XRD pattern in this record (Cu Kα (λ = 1.5418 Å)).
Peak positions follow from Bragg's law for the DFT cell and can differ from measured ones.

Atomic structure:
abc: 7.1123 7.1123 7.1123
angles: 146.63 146.63 47.91
Element x y z (fractional)
1 K 0.0000 0.0000 0.0000
2 Ni 0.2500 0.7500 0.5000
3 As 0.3480 0.3480 0.0000
4 As 0.6520 0.6520 0.0000
5 Rh 0.7500 0.2500 0.5000

Most intense lines, 10 to 90 degrees two-theta, in order of falling intensity:
- 13.6°, d = 6.500 Å, intensity 100
- 30.1°, d = 2.972 Å, intensity 69
- 41.8°, d = 2.159 Å, intensity 47
- 52.8°, d = 1.733 Å, intensity 42
- 44.4°, d = 2.042 Å, intensity 41
- 34.0°, d = 2.639 Å, intensity 34

2.
For KNiAs2S8, the PBE geometry in Alexandria gives the theoretical powder XRD pattern in this record (Cu Kα (λ = 1.5418 Å)).
Peak positions follow from Bragg's law for the DFT cell and can differ from measured ones.

Atomic structure:
abc: 11.3922 11.3922 11.3922
angles: 28.24 28.24 28.24
Element x y z (fractional)
1 K 0.0000 0.0000 0.0000
2 Ni 0.5000 0.5000 0.5000
3 As 0.2344 0.2344 0.2344
4 As 0.7656 0.7656 0.7656
5 S 0.1674 0.8071 0.3955
6 S 0.1929 0.6045 0.8326
7 S 0.2990 0.2990 0.2990
8 S 0.3955 0.1674 0.8071
9 S 0.6045 0.8326 0.1929
10 S 0.7010 0.7010 0.7010
11 S 0.8071 0.3955 0.1674
12 S 0.8326 0.1929 0.6045

Most intense lines, 10 to 90 degrees two-theta, in order of falling intensity:
- 21.4°, d = 4.151 Å, intensity 100
- 39.0°, d = 2.309 Å, intensity 36
- 32.2°, d = 2.779 Å, intensity 34
- 28.6°, d = 3.121 Å, intensity 29
- 53.3°, d = 1.718 Å, intensity 27
- 51.4°, d = 1.776 Å, intensity 25

3.
For K2Np2As2P, the PBE geometry in Alexandria gives the theoretical powder XRD pattern in this record (Cu Kα (λ = 1.5418 Å)).
Peak positions follow from Bragg's law for the DFT cell and can differ from measured ones.

Atomic structure:
abc: 9.1105 9.1105 9.1105
angles: 146.94 146.94 47.46
Element x y z (fractional)
1 K 0.1917 0.1917 0.0000
2 K 0.8083 0.8083 0.0000
3 Np 0.0000 0.5000 0.5000
4 Np 0.5000 0.0000 0.5000
5 As 0.3971 0.3971 0.0000
6 As 0.6029 0.6029 0.0000
7 P 0.0000 0.0000 0.0000

Most intense lines, 10 to 90 degrees two-theta, in order of falling intensity:
- 10.6°, d = 8.340 Å, intensity 100
- 26.6°, d = 3.356 Å, intensity 45
- 32.5°, d = 2.753 Å, intensity 42
- 34.6°, d = 2.592 Å, intensity 31
- 36.3°, d = 2.475 Å, intensity 23
- 40.7°, d = 2.215 Å, intensity 19

4.
For KAs2PbO6, the PBE geometry in Alexandria gives the theoretical powder XRD pattern in this record (Cu Kα (λ = 1.5418 Å)).
Peak positions follow from Bragg's law for the DFT cell and can differ from measured ones.

Atomic structure:
abc: 7.6533 7.6533 6.2546
angles: 101.59 101.59 87.54
Element x y z (fractional)
1 K 0.1910 0.8090 0.7500
2 K 0.8090 0.1910 0.2500
3 As 0.1316 0.2934 0.7583
4 As 0.2934 0.1316 0.2583
5 As 0.7066 0.8684 0.7417
6 As 0.8684 0.7066 0.2417
7 Pb 0.3876 0.6124 0.2500
8 Pb 0.6124 0.3876 0.7500
9 O 0.0770 0.6192 0.3088
10 O 0.1428 0.1719 0.9970
11 O 0.1719 0.1428 0.4970
12 O 0.2933 0.4581 0.8393
13 O 0.3808 0.9230 0.1912
14 O 0.4581 0.2933 0.3393
15 O 0.5419 0.7067 0.6607
16 O 0.6192 0.0770 0.8088
17 O 0.7067 0.5419 0.1607
18 O 0.8281 0.8572 0.5030
19 O 0.8572 0.8281 0.0030
20 O 0.9230 0.3808 0.6912

Most intense lines, 10 to 90 degrees two-theta, in order of falling intensity:
- 25.4°, d = 3.505 Å, intensity 100
- 30.5°, d = 2.932 Å, intensity 56
- 29.7°, d = 3.003 Å, intensity 49
- 11.8°, d = 7.497 Å, intensity 47
- 26.6°, d = 3.356 Å, intensity 46
- 17.0°, d = 5.215 Å, intensity 28

5.
For KAsPdO4, the PBE geometry in Alexandria gives the theoretical powder XRD pattern in this record (Cu Kα (λ = 1.5418 Å)).
Peak positions follow from Bragg's law for the DFT cell and can differ from measured ones.

Atomic structure:
abc: 6.2056 6.2056 6.2056
angles: 60.00 60.00 60.00
Element x y z (fractional)
1 K 0.0000 0.0000 0.0000
2 As 0.5000 0.5000 0.5000
3 Pd 0.2500 0.2500 0.2500
4 O 0.3865 0.3865 0.3865
5 O 0.3865 0.3865 0.8404
6 O 0.3865 0.8404 0.3865
7 O 0.8404 0.3865 0.3865

Most intense lines, 10 to 90 degrees two-theta, in order of falling intensity:
- 28.8°, d = 3.103 Å, intensity 100
- 17.5°, d = 5.067 Å, intensity 91
- 51.0°, d = 1.791 Å, intensity 38
- 45.0°, d = 2.013 Å, intensity 24
- 82.2°, d = 1.173 Å, intensity 19
- 33.9°, d = 2.646 Å, intensity 18